Mg16Al12F: computed X-ray powder pattern (Cu Kα (weighted mean of Kα1 and Kα2)), based on DFT lattice parameters and positions (PBE).
Kinematic intensities with the Lorentz-polarization factor, no thermal factor.

Cell and atoms:
```
data_Mg16Al12F
_chemical_formula_sum 'Mg32 Al24 F2'
_symmetry_space_group_name_H-M 'C 1 m 1'
_symmetry_Int_Tables_number 8
_cell_length_a 10.6146
_cell_length_b 14.7613
_cell_length_c 9.0837
_cell_angle_alpha 90.00
_cell_angle_beta 124.90
_cell_angle_gamma 90.00
loop_
_symmetry_equiv_pos_as_xyz
'x,y,z'
'x,-y,z'
'x+1/2,y+1/2,z'
'x+1/2,-y+1/2,z'
loop_
_atom_site_label
_atom_site_type_symbol
_atom_site_fract_x
_atom_site_fract_y
_atom_site_fract_z
_atom_site_occupancy
Mg1 Mg 0.0000 0.0000 0.0000 1
Mg2 Mg 0.0007 0.2954 0.7016 1
Mg3 Mg 0.0110 0.5000 0.7066 1
Mg4 Mg 0.0238 0.0000 0.3623 1
Mg5 Mg 0.0783 0.3551 0.4352 1
Mg6 Mg 0.1672 0.1576 0.6102 1
Mg7 Mg 0.1969 0.1717 0.0175 1
Mg8 Mg 0.2124 0.5000 0.3139 1
Mg9 Mg 0.3137 0.3002 0.3331 1
Mg10 Mg 0.4775 0.1258 0.0062 1
Al1 Al 0.0230 0.1952 0.2083 1
Al2 Al 0.1799 0.0000 0.8241 1
Al3 Al 0.2616 0.4056 0.0326 1
Al4 Al 0.2819 0.0944 0.3751 1
Al5 Al 0.3378 0.3071 0.8382 1
Al6 Al 0.3735 0.0000 0.1884 1
Al7 Al 0.4160 0.4047 0.6528 1
F1 F 0.4298 0.0000 0.8643 1
```

Top 10 peaks for 2θ from 10° to 90°, by angle:
index	two_theta	d/Å	I_rel
0 4 2	34.20	2.622	26
4 0 -1	35.75	2.511	20
4 2 -2	35.95	2.498	59
4 0 -3	36.13	2.486	80
1 5 1	36.34	2.472	100
1 5 -2	36.48	2.463	62
3 1 1	39.73	2.269	28
3 5 -1	40.18	2.244	38
2 0 -4	40.32	2.237	43
1 1 -4	43.93	2.061	18

=====

Rb3Zn: computed X-ray powder pattern (Cu Kα (weighted mean of Kα1 and Kα2)), based on DFT lattice parameters and positions (PBE).
Kinematic intensities with the Lorentz-polarization factor, no thermal factor.

Cell and atoms:
```
data_Rb3Zn
_chemical_formula_sum 'Rb6 Zn2'
_symmetry_space_group_name_H-M 'I 4/m m m'
_symmetry_Int_Tables_number 139
_symmetry_space_group_name_Hall '-I 4 2'
_cell_length_a 6.2794
_cell_length_b 6.2794
_cell_length_c 12.6351
_cell_angle_alpha 90.00
_cell_angle_beta 90.00
_cell_angle_gamma 90.00
loop_
_atom_site_label
_atom_site_type_symbol
_atom_site_fract_x
_atom_site_fract_y
_atom_site_fract_z
_atom_site_occupancy
Rb1 Rb 0.0000 0.0000 0.0000 1
Rb2 Rb 0.0000 0.5000 0.2500 1
Zn1 Zn 0.0000 0.0000 0.5000 1
```

Top 10 peaks for 2θ from 10° to 90°, by angle:
index	two_theta	d/Å	I_rel
1 1 2	24.50	3.633	100
0 0 4	28.25	3.159	17
2 0 0	28.43	3.140	34
2 0 4	40.51	2.227	26
2 2 0	40.64	2.220	13
1 1 6	47.80	1.903	16
3 1 2	48.03	1.894	31
2 2 4	50.23	1.816	14
3 1 6	64.50	1.445	13
4 2 0	66.56	1.405	12